Structure and calculated XRD peak list of Y4Hf2In3C3 (a crystal structure in OQMD, relaxed with GGA-PBE; a wavelength of 1.5418 Å).
No peak broadening, texture or thermal motion is included.

Main lines, by angle (15° ≤ 2θ ≤ 90°):
| Position (°2θ) | I/Imax |
| --- | --- |
| 16.87 | 10.5 |
| 29.27 | 33.2 |
| 34.04 | 100.0 |
| 34.17 | 47.8 |
| 34.54 | 29.5 |
| 45.83 | 15.0 |
| 51.86 | 19.5 |
| 52.00 | 9.4 |
| 61.53 | 15.2 |
| 63.69 | 7.8 |
| 63.75 | 13.2 |
| 63.89 | 9.0 |

Atomic structure:
Cell lengths 10.5514, 6.1127, 15.9896 Å; angles 90.00, 102.98, 90.00 degrees
Space group C2/c (No. 15)
Unique sites:
Y 0.1138 0.0769 0.0906 (multiplicity 8)
Y 0.2163 0.0873 0.4093 (multiplicity 8)
Hf 0.0623 0.4134 0.9269 (multiplicity 8)
In 0.0000 0.1283 0.7500 (multiplicity 4)
In 0.1448 0.4370 0.2492 (multiplicity 8)
C 0.0758 0.2727 0.5000 (multiplicity 8)
C 0.2500 0.2500 0.0000 (multiplicity 4)

---

Structure and calculated XRD peak list of BaNb2O6 (a crystal structure in OQMD, relaxed with GGA-PBE; a wavelength of 1.5418 Å).
No peak broadening, texture or thermal motion is included.

Main lines, by angle (15° ≤ 2θ ≤ 90°):
| Position (°2θ) | I/Imax |
| --- | --- |
| 25.31 | 38.2 |
| 27.45 | 98.1 |
| 29.01 | 96.4 |
| 29.87 | 22.1 |
| 30.08 | 24.0 |
| 31.53 | 34.0 |
| 31.73 | 100.0 |
| 45.78 | 36.6 |
| 50.88 | 22.6 |
| 51.02 | 21.5 |
| 51.56 | 25.3 |
| 55.11 | 33.8 |

Atomic structure:
Cell lengths 12.6899, 12.6899, 3.9641 Å; angles 90.00, 90.00, 90.00 degrees
Space group P4/m (No. 83)
Unique sites:
Ba 0.0000 0.0000 0.0000 (multiplicity 1)
Ba 0.1741 0.6672 0.0000 (multiplicity 4)
Nb 0.0000 0.5000 0.5000 (multiplicity 2)
Nb 0.0806 0.2161 0.5000 (multiplicity 4)
Nb 0.2947 0.4307 0.5000 (multiplicity 4)
O 0.0000 0.5000 0.0000 (multiplicity 2)
O 0.0149 0.6569 0.5000 (multiplicity 4)
O 0.0687 0.2114 0.0000 (multiplicity 4)
O 0.0734 0.8626 0.5000 (multiplicity 4)
O 0.1559 0.5007 0.5000 (multiplicity 4)
O 0.2182 0.2799 0.5000 (multiplicity 4)
O 0.2918 0.4149 0.0000 (multiplicity 4)
O 0.3510 0.5703 0.5000 (multiplicity 4)

---

Structure and calculated XRD peak list of KRbInAu3 (a crystal structure in OQMD, relaxed with GGA-PBE; a wavelength of 1.5418 Å).
No peak broadening, texture or thermal motion is included.

Main lines, by angle (15° ≤ 2θ ≤ 90°):
| Position (°2θ) | I/Imax |
| --- | --- |
| 16.15 | 60.2 |
| 18.40 | 100.0 |
| 28.27 | 39.8 |
| 31.48 | 22.8 |
| 31.96 | 64.7 |
| 32.63 | 71.5 |
| 37.30 | 39.6 |
| 39.61 | 52.0 |
| 42.80 | 35.4 |
| 43.67 | 35.3 |
| 51.18 | 24.9 |
| 58.47 | 31.7 |

Atomic structure:
Cell lengths 5.6842, 6.8814, 9.1027 Å; angles 90.00, 90.00, 90.00 degrees
Space group Pmma (No. 51)
Unique sites:
K 0.2500 0.0000 0.1312 (multiplicity 2)
Rb 0.2500 0.5000 0.3666 (multiplicity 2)
In 0.2500 0.5000 0.9263 (multiplicity 2)
Au 0.0000 0.0000 0.5000 (multiplicity 2)
Au 0.2500 0.2081 0.7246 (multiplicity 4)

---

Structure and calculated XRD peak list of SrSiAu3 (a crystal structure in OQMD, relaxed with GGA-PBE; a wavelength of 1.5418 Å).
No peak broadening, texture or thermal motion is included.

Main lines, by angle (15° ≤ 2θ ≤ 90°):
| Position (°2θ) | I/Imax |
| --- | --- |
| 16.64 | 14.2 |
| 19.50 | 9.6 |
| 21.65 | 13.7 |
| 32.50 | 100.0 |
| 33.64 | 10.1 |
| 39.60 | 42.8 |
| 44.13 | 20.2 |
| 46.44 | 8.8 |
| 52.91 | 11.3 |
| 57.25 | 14.7 |
| 67.40 | 25.0 |
| 75.00 | 8.7 |

Atomic structure:
Cell lengths 6.4363, 5.3281, 9.1038 Å; angles 90.00, 135.00, 90.00 degrees
Space group Pc (No. 7)
Unique sites:
Sr 0.0000 0.0000 0.0000 (multiplicity 2)
Si 0.5008 0.2967 0.0015 (multiplicity 2)
Au 0.0005 0.4999 0.2484 (multiplicity 2)
Au 0.4988 0.4996 0.2502 (multiplicity 2)
Au 0.5005 0.1531 0.5011 (multiplicity 2)

---

Structure and calculated XRD peak list of PmPr2O3 (a crystal structure in OQMD, relaxed with GGA-PBE; a wavelength of 1.5418 Å).
No peak broadening, texture or thermal motion is included.

Main lines, by angle (15° ≤ 2θ ≤ 90°):
| Position (°2θ) | I/Imax |
| --- | --- |
| 30.78 | 100.0 |
| 35.69 | 81.1 |
| 51.36 | 55.8 |
| 61.08 | 45.4 |
| 64.11 | 18.6 |
| 75.59 | 8.5 |
| 83.80 | 19.3 |
| 86.50 | 24.3 |

Atomic structure:
Cell lengths 3.5582, 3.5582, 8.7154 Å; angles 90.00, 90.00, 120.00 degrees
Space group P-3m1 (No. 164)
Unique sites:
Pm 0.0000 0.0000 0.0000 (multiplicity 1)
Pr 0.3333 0.6667 0.3321 (multiplicity 2)
O 0.0000 0.0000 0.5000 (multiplicity 1)
O 0.3333 0.6667 0.8443 (multiplicity 2)

---

Structure and calculated XRD peak list of SmGaSiPd2 (a crystal structure in OQMD, relaxed with GGA-PBE; a wavelength of 1.5418 Å).
No peak broadening, texture or thermal motion is included.

Main lines, by angle (15° ≤ 2θ ≤ 90°):
| Position (°2θ) | I/Imax |
| --- | --- |
| 27.28 | 9.7 |
| 33.65 | 40.8 |
| 34.66 | 100.0 |
| 42.67 | 48.5 |
| 46.57 | 8.5 |
| 49.29 | 22.0 |
| 55.41 | 19.4 |
| 61.94 | 15.8 |
| 62.47 | 9.9 |
| 67.20 | 17.2 |
| 72.96 | 22.3 |
| 89.17 | 10.0 |

Atomic structure:
Cell lengths 4.2376, 4.2376, 10.2735 Å; angles 90.00, 90.00, 90.00 degrees
Space group P4/nmm (No. 129, origin choice 2)
Unique sites:
Sm 0.2500 0.2500 0.2479 (multiplicity 2)
Ga 0.2500 0.7500 0.5000 (multiplicity 2)
Si 0.2500 0.2500 0.8731 (multiplicity 2)
Pd 0.2500 0.2500 0.6418 (multiplicity 2)
Pd 0.2500 0.7500 0.0000 (multiplicity 2)